Entry 1:
Structure and theoretical powder diffractogram of CaCu9Sn2 (a PBE-relaxed structure; λ = 1.5418 Å (Cu Kα)).

Main lines, by angle (2θ from 10° to 80°):
Position (°2θ)	intensity
14.75	30
29.45	15
37.97	76
41.67	14
42.36	47
43.07	100
43.97	36
45.31	27
46.41	20
70.44	20

Structural model:
```
data_CaCu9Sn2
_symmetry_space_group_name_H-M 'P 4/m b m'
_symmetry_Int_Tables_number 127
_symmetry_space_group_name_Hall '-P 4 2ab'
_cell_length_a 8.491
_cell_length_b 8.491
_cell_length_c 5.042
_cell_angle_alpha 90.00
_cell_angle_beta 90.00
_cell_angle_gamma 90.00
loop_
_atom_site_label
_atom_site_type_symbol
_atom_site_fract_x
_atom_site_fract_y
_atom_site_fract_z
Ca1 Ca 0.000 0.000 0.000
Cu1 Cu 0.000 0.500 0.500
Cu2 Cu 0.067 0.204 0.500
Cu3 Cu 0.172 0.672 0.246
Sn1 Sn 0.129 0.371 0.000
```

Entry 2:
Structure and theoretical powder diffractogram of Ca3Cu6Sn5 (a PBE-relaxed structure; λ = 1.5418 Å (Cu Kα)).

Main lines, by angle (2θ from 10° to 80°):
Position (°2θ)	intensity
22.03	54
22.46	55
28.96	64
33.71	67
34.01	57
36.54	100
40.42	55
40.92	95
44.10	61
44.46	65

Structural model:
```
data_Ca3Cu6Sn5
_symmetry_space_group_name_H-M 'I m m m'
_symmetry_Int_Tables_number 71
_symmetry_space_group_name_Hall '-I 2 2'
_cell_length_a 4.411
_cell_length_b 9.994
_cell_length_c 12.936
_cell_angle_alpha 90.00
_cell_angle_beta 90.00
_cell_angle_gamma 90.00
loop_
_atom_site_label
_atom_site_type_symbol
_atom_site_fract_x
_atom_site_fract_y
_atom_site_fract_z
Ca1 Ca 0.000 0.000 0.000
Ca2 Ca 0.000 0.000 0.312
Cu1 Cu 0.000 0.201 0.500
Cu2 Cu 0.000 0.282 0.117
Sn1 Sn 0.000 0.345 0.327
Sn2 Sn 0.000 0.500 0.000
```

Entry 3:
Structure and theoretical powder diffractogram of Ca3Cu8Sn4 (a PBE-relaxed structure; λ = 1.5418 Å (Cu Kα)).

Main lines, by angle (2θ from 10° to 80°):
Position (°2θ)	intensity
11.14	62
22.40	24
25.19	25
32.23	41
36.47	34
39.31	100
41.62	45
42.68	22
45.97	50
46.29	33

Structural model:
```
data_Ca3Cu8Sn4
_symmetry_space_group_name_H-M 'P 63 m c'
_symmetry_Int_Tables_number 186
_symmetry_space_group_name_Hall 'P 6c -2c'
_cell_length_a 9.1672
_cell_length_b 9.1672
_cell_length_c 7.7751
_cell_angle_alpha 90.00
_cell_angle_beta 90.00
_cell_angle_gamma 120.00
loop_
_atom_site_label
_atom_site_type_symbol
_atom_site_fract_x
_atom_site_fract_y
_atom_site_fract_z
Ca1 Ca 0.0493 0.5247 0.0000
Cu1 Cu 0.0000 0.0000 0.2224
Cu2 Cu 0.1019 0.2037 0.9755
Cu3 Cu 0.1635 0.3271 0.6680
Cu4 Cu 0.3333 0.6667 0.3355
Sn1 Sn 0.1687 0.3373 0.2933
Sn2 Sn 0.3333 0.6667 0.6926
```

Entry 4:
Structure and theoretical powder diffractogram of Ca3CuSn2 (a PBE-relaxed structure; λ = 1.5418 Å (Cu Kα)).

Main lines, by angle (2θ from 10° to 80°):
Position (°2θ)	intensity
20.75	94
21.87	58
23.86	56
29.93	76
30.82	56
32.72	100
35.51	67
37.04	52
37.99	60
39.01	79

Structural model:
```
data_Ca3CuSn2
_symmetry_space_group_name_H-M 'P n m a'
_symmetry_Int_Tables_number 62
_cell_length_a 12.508
_cell_length_b 4.617
_cell_length_c 11.724
_cell_angle_alpha 90.00
_cell_angle_beta 90.00
_cell_angle_gamma 90.00
loop_
_symmetry_equiv_pos_as_xyz
'x,y,z'
'-x,-y,-z'
'-x+1/2,-y,z+1/2'
'x+1/2,y,-z+1/2'
'x+1/2,-y+1/2,-z+1/2'
'-x+1/2,y+1/2,z+1/2'
'-x,y+1/2,-z'
'x,-y+1/2,z'
loop_
_atom_site_label
_atom_site_type_symbol
_atom_site_fract_x
_atom_site_fract_y
_atom_site_fract_z
Ca1 Ca 0.050 0.250 0.123
Ca2 Ca 0.124 0.750 0.566
Ca3 Ca 0.218 0.250 0.806
Cu1 Cu 0.121 0.250 0.381
Sn1 Sn 0.022 0.750 0.316
Sn2 Sn 0.196 0.750 0.005
```

Entry 5:
Structure and theoretical powder diffractogram of CaCu4Sn12 (a PBE-relaxed structure; λ = 1.5418 Å (Cu Kα)).

Main lines, by angle (2θ from 10° to 80°):
Position (°2θ)	intensity
29.93	100
35.58	38
42.84	23
45.05	10
47.17	20
49.22	25
56.87	17
58.68	10
67.27	20
76.92	10

Structural model:
```
data_CaCu4Sn12
_symmetry_space_group_name_H-M 'I m -3'
_symmetry_Int_Tables_number 204
_symmetry_space_group_name_Hall '-I 2 2 3'
_cell_length_a 9.440
_cell_length_b 9.440
_cell_length_c 9.440
_cell_angle_alpha 90.00
_cell_angle_beta 90.00
_cell_angle_gamma 90.00
loop_
_atom_site_label
_atom_site_type_symbol
_atom_site_fract_x
_atom_site_fract_y
_atom_site_fract_z
Ca1 Ca 0.000 0.000 0.000
Cu1 Cu 0.250 0.250 0.250
Sn1 Sn 0.000 0.340 0.162
```

Entry 6:
Structure and theoretical powder diffractogram of Ca2Cu5Sn4 (a PBE-relaxed structure; λ = 1.5418 Å (Cu Kα)).

Main lines, by angle (2θ from 10° to 80°):
Position (°2θ)	intensity
17.26	52
18.73	75
31.02	52
34.82	100
38.83	85
41.55	81
42.77	48
44.61	37
58.47	45
63.51	26

Structural model:
```
data_Ca2Cu5Sn4
_symmetry_space_group_name_H-M 'F m m m'
_symmetry_Int_Tables_number 69
_symmetry_space_group_name_Hall '-F 2 2'
_cell_length_a 5.651
_cell_length_b 10.278
_cell_length_c 16.248
_cell_angle_alpha 90.00
_cell_angle_beta 90.00
_cell_angle_gamma 90.00
loop_
_atom_site_label
_atom_site_type_symbol
_atom_site_fract_x
_atom_site_fract_y
_atom_site_fract_z
Ca1 Ca 0.000 0.000 0.147
Cu1 Cu 0.000 0.000 0.500
Cu2 Cu 0.250 0.250 0.000
Cu3 Cu 0.250 0.250 0.250
Sn1 Sn 0.000 0.157 0.372
```

Entry 7:
Structure and theoretical powder diffractogram of SrCa2Cu9 (a PBE-relaxed structure; λ = 1.5418 Å (Cu Kα)).

Main lines, by angle (2θ from 10° to 80°):
Position (°2θ)	intensity
10.63	14
33.23	21
33.81	20
39.63	37
40.34	100
42.62	26
43.48	27
45.10	17
64.92	22
71.13	22

Structural model:
```
data_SrCa2Cu9
_symmetry_space_group_name_H-M 'P 63/m m c'
_symmetry_Int_Tables_number 194
_symmetry_space_group_name_Hall '-P 6c 2c'
_cell_length_a 5.3017
_cell_length_b 5.3017
_cell_length_c 16.6509
_cell_angle_alpha 90.00
_cell_angle_beta 90.00
_cell_angle_gamma 120.00
loop_
_atom_site_label
_atom_site_type_symbol
_atom_site_fract_x
_atom_site_fract_y
_atom_site_fract_z
Sr1 Sr 0.3333 0.6667 0.2500
Ca1 Ca 0.3333 0.6667 0.0349
Cu1 Cu 0.0000 0.0000 0.0000
Cu2 Cu 0.0000 0.0000 0.2500
Cu3 Cu 0.1658 0.3316 0.6274
Cu4 Cu 0.3333 0.6667 0.7500
```

Entry 8:
Structure and theoretical powder diffractogram of Sr3CaCu2 (a PBE-relaxed structure; λ = 1.5418 Å (Cu Kα)).

Main lines, by angle (2θ from 10° to 80°):
Position (°2θ)	intensity
11.42	41
26.17	25
28.32	26
28.98	100
31.86	31
35.69	30
36.35	30
36.86	28
41.93	26
49.10	24

Structural model:
```
data_Sr3CaCu2
_symmetry_space_group_name_H-M 'C 1 2/m 1'
_symmetry_Int_Tables_number 12
_cell_length_a 18.524
_cell_length_b 4.309
_cell_length_c 12.954
_cell_angle_alpha 90.00
_cell_angle_beta 123.23
_cell_angle_gamma 90.00
loop_
_symmetry_equiv_pos_as_xyz
'x,y,z'
'-x,-y,-z'
'-x,y,-z'
'x,-y,z'
'x+1/2,y+1/2,z'
'-x+1/2,-y+1/2,-z'
'-x+1/2,y+1/2,-z'
'x+1/2,-y+1/2,z'
loop_
_atom_site_label
_atom_site_type_symbol
_atom_site_fract_x
_atom_site_fract_y
_atom_site_fract_z
Sr1 Sr 0.085 0.000 0.435
Sr2 Sr 0.086 0.000 0.947
Sr3 Sr 0.161 0.500 0.749
Ca1 Ca 0.165 0.500 0.261
Cu1 Cu 0.237 0.500 0.038
Cu2 Cu 0.237 0.500 0.539
```

What did the second record say?
Structure and theoretical powder diffractogram of Ca3Cu6Sn5 (a PBE-relaxed structure; λ = 1.5418 Å (Cu Kα)).

Main lines, by angle (2θ from 10° to 80°):
Position (°2θ)	intensity
22.03	54
22.46	55
28.96	64
33.71	67
34.01	57
36.54	100
40.42	55
40.92	95
44.10	61
44.46	65

Structural model:
```
data_Ca3Cu6Sn5
_symmetry_space_group_name_H-M 'I m m m'
_symmetry_Int_Tables_number 71
_symmetry_space_group_name_Hall '-I 2 2'
_cell_length_a 4.411
_cell_length_b 9.994
_cell_length_c 12.936
_cell_angle_alpha 90.00
_cell_angle_beta 90.00
_cell_angle_gamma 90.00
loop_
_atom_site_label
_atom_site_type_symbol
_atom_site_fract_x
_atom_site_fract_y
_atom_site_fract_z
Ca1 Ca 0.000 0.000 0.000
Ca2 Ca 0.000 0.000 0.312
Cu1 Cu 0.000 0.201 0.500
Cu2 Cu 0.000 0.282 0.117
Sn1 Sn 0.000 0.345 0.327
Sn2 Sn 0.000 0.500 0.000
```